No. 1
Diffraction record for TbDy2Cr2C4. The X-ray diffraction stick pattern is theoretical, not measured: it uses a DFT-relaxed cell (GGA-PBE, Alexandria) and Cu Kα X-rays.

Atomic structure:
Unit cell a=13.1303 b=3.4168 c=5.9656 alpha=90.00 beta=110.31 gamma=90.00
Space group C2/m (No. 12)
Asymmetric unit:
1 Tb 0.0000 0.0000 0.0000 x2
2 Dy 0.1350 0.0000 0.5438 x4
3 Cr 0.1797 0.5000 0.9887 x4
4 C 0.0447 0.5000 0.7504 x4
5 C 0.2163 0.0000 0.1879 x4

Peak list (10 most intense, 10° ≤ 2θ ≤ 90°, sorted by position)
hkl	d (Å)	intensity
1 1 0	3.292	81
4 0 -1	3.208	76
2 0 -2	2.962	25
0 0 2	2.797	71
3 1 -1	2.611	100
4 0 1	2.372	35
1 1 -2	2.237	65
3 1 1	2.197	90
5 1 -1	2.076	25
0 2 0	1.709	37



No. 2
Diffraction record for Pm4PPd2. The X-ray diffraction stick pattern is theoretical, not measured: it uses a DFT-relaxed cell (GGA-PBE, Alexandria) and Cu Kα X-rays.

Atomic structure:
Unit cell a=5.4585 b=5.4585 c=14.0217 alpha=90.00 beta=90.00 gamma=90.00
Space group I4/mmm (No. 139)
Asymmetric unit:
1 Pm 0.0000 0.0000 0.1998 x4
2 Pm 0.0000 0.5000 0.0000 x4
3 P 0.0000 0.0000 0.0000 x2
4 Pd 0.0000 0.0000 0.3974 x4

Peak list (10 most intense, 10° ≤ 2θ ≤ 90°, sorted by position)
hkl	d (Å)	intensity
1 1 0	3.860	22
1 1 2	3.381	97
2 0 0	2.729	100
1 1 4	2.595	32
1 0 5	2.494	65
2 2 0	1.930	36
2 1 5	1.841	52
3 1 2	1.676	26
3 2 5	1.332	18
2 0 10	1.247	17



No. 3
Diffraction record for Th4Sb2Au. The X-ray diffraction stick pattern is theoretical, not measured: it uses a DFT-relaxed cell (GGA-PBE, Alexandria) and Cu Kα X-rays.

Atomic structure:
Unit cell a=16.3061 b=4.2254 c=7.4014 alpha=90.00 beta=116.42 gamma=90.00
Space group C2/m (No. 12)
Asymmetric unit:
1 Th 0.1097 0.0000 0.2611 x4
2 Th 0.1151 0.5000 0.8048 x4
3 Sb 0.2453 0.0000 0.7344 x4
4 Au 0.0000 0.0000 0.5000 x2

Peak list (10 most intense, 10° ≤ 2θ ≤ 90°, sorted by position)
hkl	d (Å)	intensity
0 0 2	3.314	45
1 1 1	3.286	79
3 1 -1	3.272	100
3 1 1	2.595	81
6 0 -2	2.584	69
3 1 -3	2.130	64
0 2 0	2.113	35
7 1 -1	2.024	29
6 2 -2	1.636	25
8 2 0	1.381	26



No. 4
Diffraction record for La4Pm3Sm5. The X-ray diffraction stick pattern is theoretical, not measured: it uses a DFT-relaxed cell (GGA-PBE, Alexandria) and Cu Kα X-rays.

Atomic structure:
Unit cell a=6.3796 b=7.3234 c=9.0133 alpha=90.27 beta=90.16 gamma=90.04
Space group P-1 (No. 2)
Asymmetric unit:
1 La 0.1672 0.0004 0.1678 x2
2 La 0.3332 0.2513 0.8310 x2
3 Pm 0.3324 0.7485 0.8316 x2
4 Pm 0.5000 0.5000 0.5000 x1
5 Sm 0.0018 0.7482 0.5001 x2
6 Sm 0.1658 0.5000 0.1689 x2
7 Sm 0.5000 0.0000 0.5000 x1

Peak list (10 most intense, 10° ≤ 2θ ≤ 90°, sorted by position)
hkl	d (Å)	intensity
2 0 1	3.004	100
1 2 -1	2.997	99
2 0 -2	2.603	68
1 2 2	2.589	33
3 -2 0	1.841	24
3 2 0	1.837	36
4 0 -1	1.571	29
3 -2 3	1.568	22
3 2 3	1.565	21
5 2 1	1.193	18



No. 5
Diffraction record for Cs14Pr2S9. The X-ray diffraction stick pattern is theoretical, not measured: it uses a DFT-relaxed cell (GGA-PBE, Alexandria) and Cu Kα X-rays.

Atomic structure:
Unit cell a=9.8951 b=9.8951 c=13.7891 alpha=90.00 beta=90.00 gamma=120.00
Space group P-3 (No. 147)
Asymmetric unit:
1 Cs 0.0000 0.0000 0.2489 x2
2 Cs 0.0490 0.6802 0.4076 x6
3 Cs 0.0951 0.3969 0.0972 x6
4 Pr 0.3333 0.6667 0.7714 x2
5 S 0.0000 0.0000 0.5000 x1
6 S 0.1012 0.3823 0.8389 x6
7 S 0.3333 0.6667 0.5729 x2

Peak list (10 most intense, 10° ≤ 2θ ≤ 90°, sorted by position)
hkl	d (Å)	intensity
2 0 1	4.092	19
0 1 3	4.051	20
1 1 2	4.020	100
3 -1 1	3.153	52
3 0 0	2.856	39
2 -1 4	2.828	56
3 1 3	2.111	13
1 2 5	2.100	17
0 4 3	1.942	14
3 0 6	1.790	16



No. 6
Diffraction record for TiSn2IrCl. The X-ray diffraction stick pattern is theoretical, not measured: it uses a DFT-relaxed cell (GGA-PBE, Alexandria) and Cu Kα X-rays.

Atomic structure:
Unit cell a=5.5014 b=5.5014 c=4.4745 alpha=90.00 beta=90.00 gamma=90.00
Space group P4/mmm (No. 123)
Asymmetric unit:
1 Ti 0.0000 0.0000 0.0000 x1
2 Sn 0.0000 0.5000 0.0000 x2
3 Ir 0.0000 0.0000 0.5000 x1
4 Cl 0.5000 0.5000 0.5000 x1

Peak list (10 most intense, 10° ≤ 2θ ≤ 90°, sorted by position)
hkl	d (Å)	intensity
1 0 0	5.501	52
1 1 1	2.936	100
2 0 0	2.751	63
2 1 0	2.460	14
0 0 2	2.237	18
2 2 0	1.945	23
2 0 2	1.736	32
3 1 1	1.621	36
2 2 2	1.468	19
3 1 3	1.132	12



No. 7
Diffraction record for Ba3BiI3. The X-ray diffraction stick pattern is theoretical, not measured: it uses a DFT-relaxed cell (GGA-PBE, Alexandria) and Cu Kα X-rays.

Atomic structure:
Unit cell a=10.0343 b=10.3485 c=14.5142 alpha=90.00 beta=90.00 gamma=90.00
Space group Imma (No. 74)
Asymmetric unit:
1 Ba 0.0000 0.2500 0.0110 x4
2 Ba 0.2500 0.0228 0.2500 x8
3 Bi 0.0000 0.2500 0.2458 x4
4 I 0.0000 0.2500 0.7599 x4
5 I 0.2378 0.0000 0.0000 x8

Peak list (10 most intense, 10° ≤ 2θ ≤ 90°, sorted by position)
hkl	d (Å)	intensity
1 0 1	8.254	20
0 0 4	3.629	51
2 2 0	3.602	100
0 4 0	2.587	20
2 2 4	2.556	79
4 0 0	2.509	19
0 4 4	2.107	21
4 0 4	2.063	21
2 2 8	1.620	18
4 4 4	1.613	18



No. 8
Diffraction record for Li2La2TiO6. The X-ray diffraction stick pattern is theoretical, not measured: it uses a DFT-relaxed cell (GGA-PBE, Alexandria) and Cu Kα X-rays.

Atomic structure:
Unit cell a=5.6837 b=5.6837 c=14.6847 alpha=90.00 beta=90.00 gamma=120.00
Space group R-3m (No. 166, hexagonal axes)
Asymmetric unit:
1 Li 0.0000 0.0000 0.0724 x6
2 La 0.0000 0.0000 0.2839 x6
3 Ti 0.0000 0.0000 0.5000 x3
4 O 0.0269 0.5134 0.2527 x18

Peak list (10 most intense, 10° ≤ 2θ ≤ 90°, sorted by position)
hkl	d (Å)	intensity
1 0 1	4.667	47
0 1 2	4.089	70
1 0 4	2.943	44
1 1 0	2.842	100
0 1 5	2.522	63
2 0 2	2.334	54
0 2 4	2.044	42
2 0 5	1.886	30
1 2 5	1.572	35
1 1 9	1.415	24



No. 9
Diffraction record for KIn4Hg12. The X-ray diffraction stick pattern is theoretical, not measured: it uses a DFT-relaxed cell (GGA-PBE, Alexandria) and Cu Kα X-rays.

Atomic structure:
Unit cell a=10.2511 b=10.2511 c=10.2511 alpha=90.00 beta=90.00 gamma=90.00
Space group Im-3 (No. 204)
Asymmetric unit:
1 K 0.0000 0.0000 0.0000 x2
2 In 0.2500 0.2500 0.2500 x8
3 Hg 0.0000 0.3529 0.1485 x24

Peak list (10 most intense, 10° ≤ 2θ ≤ 90°, sorted by position)
hkl	d (Å)	intensity
1 1 0	7.249	11
3 0 1	3.242	100
3 1 2	2.740	26
4 0 2	2.292	29
4 2 2	2.092	15
4 3 1	2.010	44
6 1 3	1.511	14
4 4 4	1.480	9
7 3 0	1.346	13
7 4 3	1.192	18



No. 10
Diffraction record for Mn2Ir6Os. The X-ray diffraction stick pattern is theoretical, not measured: it uses a DFT-relaxed cell (GGA-PBE, Alexandria) and Cu Kα X-rays.

Atomic structure:
Unit cell a=4.7067 b=4.7082 c=6.7791 alpha=76.36 beta=82.98 gamma=60.02
Space group P-1 (No. 2)
Asymmetric unit:
1 Mn 0.1746 0.4385 0.1700 x2
2 Ir 0.1644 0.6636 0.5051 x2
3 Ir 0.1658 0.8844 0.8368 x2
4 Ir 0.4952 0.2254 0.8356 x2
5 Os 0.5000 0.0000 0.5000 x1

Peak list (10 most intense, 10° ≤ 2θ ≤ 90°, sorted by position)
hkl	d (Å)	intensity
2 1 0	2.337	67
0 0 3	2.196	74
1 -1 1	2.128	100
2 1 -1	2.119	49
2 1 2	2.028	46
-1 1 2	2.020	88
3 3 1	1.359	48
1 -1 4	1.279	19
3 3 4	1.159	20
3 3 -2	1.153	19



No. 11
Diffraction record for ScHSe2. The X-ray diffraction stick pattern is theoretical, not measured: it uses a DFT-relaxed cell (GGA-PBE, Alexandria) and Cu Kα X-rays.

Atomic structure:
Unit cell a=8.1319 b=3.6297 c=12.8119 alpha=90.00 beta=126.55 gamma=90.00
Space group P2_1/c (No. 14)
Asymmetric unit:
1 Sc 0.1488 0.2442 0.3936 x4
2 H 0.0025 0.2402 0.7001 x4
3 Se 0.1652 0.6588 0.5690 x4
4 Se 0.4246 0.6432 0.8948 x4

Peak list (10 most intense, 10° ≤ 2θ ≤ 90°, sorted by position)
hkl	d (Å)	intensity
0 0 2	5.146	100
1 1 -1	3.314	74
1 1 -2	3.136	43
1 0 -4	3.110	34
2 1 -2	2.706	48
3 0 -2	2.650	68
0 0 4	2.573	39
1 1 2	2.408	85
2 1 -4	2.363	89
3 0 -6	2.077	41



No. 12
Diffraction record for Sm6Zn3Cu. The X-ray diffraction stick pattern is theoretical, not measured: it uses a DFT-relaxed cell (GGA-PBE, Alexandria) and Cu Kα X-rays.

Atomic structure:
Unit cell a=9.3434 b=5.0723 c=11.5254 alpha=90.00 beta=109.41 gamma=90.00
Space group P2_1/m (No. 11)
Asymmetric unit:
1 Sm 0.0165 0.2500 0.3982 x2
2 Sm 0.1541 0.7500 0.1847 x2
3 Sm 0.2272 0.2500 0.0054 x2
4 Sm 0.3730 0.7500 0.8496 x2
5 Sm 0.3767 0.2500 0.6351 x2
6 Sm 0.3807 0.2500 0.3536 x2
7 Zn 0.0403 0.7500 0.8804 x2
8 Zn 0.1214 0.2500 0.7294 x2
9 Zn 0.2642 0.7500 0.4749 x2
10 Cu 0.4239 0.7500 0.1169 x2

Peak list (10 most intense, 10° ≤ 2θ ≤ 90°, sorted by position)
hkl	d (Å)	intensity
1 1 -2	3.734	20
1 1 -3	3.056	20
2 1 1	2.977	29
2 0 -4	2.759	35
3 1 -1	2.650	98
1 1 3	2.593	100
0 2 0	2.536	69
2 2 -4	1.867	22
3 3 -1	1.485	21
1 3 3	1.475	20



What did the first record say?
Diffraction record for TbDy2Cr2C4. The X-ray diffraction stick pattern is theoretical, not measured: it uses a DFT-relaxed cell (GGA-PBE, Alexandria) and Cu Kα X-rays.

Atomic structure:
Unit cell a=13.1303 b=3.4168 c=5.9656 alpha=90.00 beta=110.31 gamma=90.00
Space group C2/m (No. 12)
Asymmetric unit:
1 Tb 0.0000 0.0000 0.0000 x2
2 Dy 0.1350 0.0000 0.5438 x4
3 Cr 0.1797 0.5000 0.9887 x4
4 C 0.0447 0.5000 0.7504 x4
5 C 0.2163 0.0000 0.1879 x4

Peak list (10 most intense, 10° ≤ 2θ ≤ 90°, sorted by position)
hkl	d (Å)	intensity
1 1 0	3.292	81
4 0 -1	3.208	76
2 0 -2	2.962	25
0 0 2	2.797	71
3 1 -1	2.611	100
4 0 1	2.372	35
1 1 -2	2.237	65
3 1 1	2.197	90
5 1 -1	2.076	25
0 2 0	1.709	37